Record 1
The following is a simulated powder diffractogram of EuI2. It was derived from the GGA-PBE geometry in the Materials Project, using Cu Kα (λ = 1.5418 Å).
Intensities are scaled so that the largest is 100.

Cell and atoms:
Unit cell a=7.817 b=8.238 c=8.029 alpha=90.00 beta=99.23 gamma=90.00
Space group P2_1/c (No. 14)
Inequivalent atoms, fractional coordinates:
Eu 0.215 0.054 0.310 x4
I 0.070 0.731 0.505 x4
I 0.406 0.111 0.708 x4

Principal peaks in the range 15° ≤ 2θ ≤ 90°, sorted by position:
h k l, d [Å], two_theta, Rel. int.
1 1 -1, 4.867, 18.23, 67.5
2 1 0, 3.494, 25.50, 67.3
1 2 -1, 3.402, 26.20, 93.6
2 1 -1, 3.383, 26.34, 100.0
1 0 2, 3.316, 26.89, 76.9
0 2 2, 2.856, 31.32, 90.5
1 3 0, 2.587, 34.68, 77.9
3 1 1, 2.248, 40.10, 77.4

---

Record 2
The following is a simulated powder diffractogram of EuI2. It was derived from the GGA-PBE geometry in the Materials Project, using Cu Kα (λ = 1.5418 Å).
Intensities are scaled so that the largest is 100.

Cell and atoms:
Unit cell a=12.457 b=4.940 c=8.444 alpha=90.00 beta=90.00 gamma=90.00
Space group Pnma (No. 62)
Inequivalent atoms, fractional coordinates:
Eu 0.172 0.250 0.128 x4
I 0.108 0.750 0.875 x4
I 0.123 0.750 0.377 x4

Principal peaks in the range 15° ≤ 2θ ≤ 90°, sorted by position:
h k l, d [Å], two_theta, Rel. int.
2 0 1, 5.013, 17.69, 15.0
0 1 1, 4.264, 20.83, 14.8
1 1 1, 4.034, 22.04, 21.3
4 0 0, 3.110, 28.71, 100.0
3 0 2, 2.961, 30.19, 23.4
3 1 2, 2.539, 35.35, 55.0
0 2 0, 2.470, 36.38, 24.1
0 0 4, 2.111, 42.84, 15.4

---

Record 3
The following is a simulated powder diffractogram of EuI2. It was derived from the GGA-PBE geometry in the Materials Project, using Cu Kα (λ = 1.5418 Å).
Intensities are scaled so that the largest is 100.

Cell and atoms:
Unit cell a=7.926 b=15.311 c=8.260 alpha=90.00 beta=90.00 gamma=90.00
Space group Pbca (No. 61)
Inequivalent atoms, fractional coordinates:
Eu 0.223 0.110 0.052 x8
I 0.006 0.034 0.731 x8
I 0.163 0.702 0.393 x8

Principal peaks in the range 15° ≤ 2θ ≤ 90°, sorted by position:
h k l, d [Å], two_theta, Rel. int.
1 2 1, 4.582, 19.37, 86.9
0 4 1, 3.473, 25.65, 60.7
2 2 1, 3.238, 27.55, 60.7
1 4 1, 3.181, 28.05, 73.3
2 0 2, 2.860, 31.28, 100.0
2 4 0, 2.753, 32.52, 55.7
0 2 3, 2.591, 34.62, 68.9
1 6 1, 2.329, 38.65, 88.7

---

Record 4
The following is a simulated powder diffractogram of Eu4I6O. It was derived from the GGA-PBE geometry in the Materials Project, using Cu Kα (λ = 1.5418 Å).
Intensities are scaled so that the largest is 100.

Cell and atoms:
Unit cell a=10.4591 b=10.4591 c=8.0459 alpha=90.00 beta=90.00 gamma=120.00
Space group P6_3mc (No. 186)
Inequivalent atoms, fractional coordinates:
Eu 0.2071 0.4143 0.0000 x6
Eu 0.3333 0.6667 0.6115 x2
I 0.0711 0.5355 0.3064 x6
I 0.1358 0.2716 0.6244 x6
O 0.3333 0.6667 0.9071 x2

Principal peaks in the range 15° ≤ 2θ ≤ 90°, sorted by position:
h k l, d [Å], two_theta, Rel. int.
2 0 1, 3.947, 22.53, 22.4
2 1 1, 3.150, 28.33, 100.0
2 0 2, 3.008, 29.70, 91.2
3 0 1, 2.827, 31.65, 87.0
2 2 0, 2.615, 34.29, 46.6
2 1 2, 2.607, 34.40, 37.4
1 0 3, 2.572, 34.89, 37.0
3 2 3, 1.643, 55.98, 36.9

---

Record 5
The following is a simulated powder diffractogram of EuIO. It was derived from the GGA-PBE geometry in the Materials Project, using Cu Kα (λ = 1.5418 Å).
Intensities are scaled so that the largest is 100.

Cell and atoms:
Unit cell a=4.078 b=4.078 c=9.375 alpha=90.00 beta=90.00 gamma=90.00
Space group P4/nmm (No. 129, origin choice 2)
Inequivalent atoms, fractional coordinates:
Eu 0.250 0.250 0.122 x2
I 0.250 0.250 0.674 x2
O 0.250 0.750 0.000 x2

Principal peaks in the range 15° ≤ 2θ ≤ 90°, sorted by position:
h k l, d [Å], two_theta, Rel. int.
1 0 2, 3.077, 29.02, 100.0
1 1 0, 2.883, 31.01, 44.0
1 0 3, 2.480, 36.21, 14.7
2 0 0, 2.039, 44.43, 20.6
1 1 4, 1.819, 50.16, 14.7
2 1 2, 1.700, 53.95, 34.9
1 1 5, 1.572, 58.74, 9.8
3 2 2, 1.099, 89.05, 8.9

---

Record 6
The following is a simulated powder diffractogram of Eu2PI. It was derived from the GGA-PBE geometry in the Materials Project, using Cu Kα (λ = 1.5418 Å).
Intensities are scaled so that the largest is 100.

Cell and atoms:
Unit cell a=4.4004 b=4.4004 c=23.0425 alpha=90.00 beta=90.00 gamma=120.00
Space group R-3m (No. 166, hexagonal axes)
Inequivalent atoms, fractional coordinates:
Eu 0.0000 0.0000 0.2322 x6
P 0.0000 0.0000 0.5000 x3
I 0.0000 0.0000 0.0000 x3

Principal peaks in the range 15° ≤ 2θ ≤ 90°, sorted by position:
h k l, d [Å], two_theta, Rel. int.
0 1 2, 3.618, 24.61, 14.1
1 0 4, 3.178, 28.07, 100.0
0 1 5, 2.937, 30.44, 28.4
0 1 8, 2.298, 39.21, 26.3
1 1 0, 2.200, 41.02, 40.9
0 2 4, 1.809, 50.45, 19.5
1 1 9, 1.669, 55.03, 20.3
2 1 4, 1.397, 66.97, 16.6

---

Record 7
The following is a simulated powder diffractogram of RbEu2I5. It was derived from the GGA-PBE geometry in the Materials Project, using Cu Kα (λ = 1.5418 Å).
Intensities are scaled so that the largest is 100.

Cell and atoms:
Unit cell a=10.152 b=9.101 c=14.411 alpha=90.00 beta=90.31 gamma=90.00
Space group P2_1/c (No. 14)
Inequivalent atoms, fractional coordinates:
Rb 0.007 0.053 0.331 x4
Eu 0.253 0.573 0.494 x4
Eu 0.497 0.526 0.181 x4
I 0.037 0.174 0.080 x4
I 0.274 0.688 0.716 x4
I 0.284 0.161 0.816 x4
I 0.288 0.545 0.998 x4
I 0.459 0.162 0.099 x4

Principal peaks in the range 15° ≤ 2θ ≤ 90°, sorted by position:
h k l, d [Å], two_theta, Rel. int.
2 1 2, 3.774, 23.57, 41.7
0 1 4, 3.350, 26.61, 46.3
2 2 -1, 3.300, 27.02, 92.4
2 2 -2, 3.067, 29.12, 100.0
0 3 1, 2.969, 30.10, 33.2
2 0 4, 2.930, 30.50, 26.2
1 3 2, 2.695, 33.24, 25.7
4 0 0, 2.538, 35.36, 39.3

---

Record 8
The following is a simulated powder diffractogram of Eu2In. It was derived from the GGA-PBE geometry in the Materials Project, using Cu Kα (λ = 1.5418 Å).
Intensities are scaled so that the largest is 100.

Cell and atoms:
Unit cell a=7.314 b=5.481 c=10.206 alpha=90.00 beta=90.00 gamma=90.00
Space group Pnma (No. 62)
Inequivalent atoms, fractional coordinates:
Eu 0.030 0.250 0.202 x4
Eu 0.179 0.250 0.570 x4
In 0.223 0.250 0.894 x4

Principal peaks in the range 15° ≤ 2θ ≤ 90°, sorted by position:
h k l, d [Å], two_theta, Rel. int.
1 1 2, 3.326, 26.80, 31.6
2 1 0, 3.042, 29.36, 42.4
2 0 2, 2.972, 30.06, 36.3
2 1 1, 2.915, 30.67, 100.0
0 1 3, 2.891, 30.94, 99.2
0 2 0, 2.741, 32.67, 62.9
2 2 2, 2.015, 44.99, 24.0
0 3 3, 1.610, 57.23, 20.0

---

Record 9
The following is a simulated powder diffractogram of EuIn. It was derived from the GGA-PBE geometry in the Materials Project, using Cu Kα (λ = 1.5418 Å).
Intensities are scaled so that the largest is 100.

Cell and atoms:
Unit cell a=3.795 b=3.795 c=4.301 alpha=90.00 beta=90.00 gamma=90.00
Space group P4/mmm (No. 123)
Inequivalent atoms, fractional coordinates:
Eu 0.000 0.000 0.000 x1
In 0.500 0.500 0.500 x1

Principal peaks in the range 15° ≤ 2θ ≤ 90°, sorted by position:
h k l, d [Å], two_theta, Rel. int.
1 0 1, 2.845, 31.44, 100.0
1 1 0, 2.683, 33.39, 42.6
0 0 2, 2.150, 42.02, 11.2
2 0 0, 1.897, 47.95, 15.3
1 1 2, 1.678, 54.70, 20.5
2 1 1, 1.579, 58.47, 33.4
2 0 2, 1.423, 65.62, 11.8
2 2 0, 1.341, 70.17, 14.5

---

Record 10
The following is a simulated powder diffractogram of EuIn4. It was derived from the GGA-PBE geometry in the Materials Project, using Cu Kα (λ = 1.5418 Å).
Intensities are scaled so that the largest is 100.

Cell and atoms:
Unit cell a=12.093 b=5.152 c=10.031 alpha=90.00 beta=114.49 gamma=90.00
Space group C2/m (No. 12)
Inequivalent atoms, fractional coordinates:
Eu 0.165 0.000 0.207 x4
In 0.062 0.500 0.396 x4
In 0.077 0.500 0.924 x4
In 0.154 0.000 0.846 x4
In 0.155 0.000 0.552 x4

Principal peaks in the range 15° ≤ 2θ ≤ 90°, sorted by position:
h k l, d [Å], two_theta, Rel. int.
1 1 2, 3.009, 29.69, 65.7
3 1 0, 2.988, 29.90, 100.0
4 0 -2, 2.961, 30.18, 27.3
1 1 -3, 2.782, 32.17, 66.4
4 0 -3, 2.662, 33.66, 24.6
0 2 0, 2.576, 34.83, 66.3
1 1 -4, 2.209, 40.85, 24.9
1 1 -6, 1.528, 60.61, 28.6

---

Record 11
The following is a simulated powder diffractogram of EuIn8Ir2. It was derived from the GGA-PBE geometry in the Materials Project, using Cu Kα (λ = 1.5418 Å).
Intensities are scaled so that the largest is 100.

Cell and atoms:
Unit cell a=14.333 b=16.613 c=4.491 alpha=90.00 beta=90.00 gamma=90.00
Space group Pbam (No. 55)
Inequivalent atoms, fractional coordinates:
Eu 0.157 0.181 0.000 x4
In 0.000 0.000 0.000 x2
In 0.000 0.500 0.500 x2
In 0.020 0.867 0.500 x4
In 0.051 0.317 0.500 x4
In 0.100 0.746 0.000 x4
In 0.160 0.456 0.000 x4
In 0.167 0.622 0.500 x4
In 0.169 0.011 0.500 x4
In 0.240 0.823 0.500 x4
Ir 0.034 0.595 0.000 x4
Ir 0.154 0.903 0.000 x4

Principal peaks in the range 15° ≤ 2θ ≤ 90°, sorted by position:
h k l, d [Å], two_theta, Rel. int.
1 4 1, 2.982, 29.96, 72.4
3 3 1, 2.817, 31.76, 100.0
5 4 0, 2.359, 38.15, 38.6
0 6 1, 2.357, 38.19, 36.1
3 5 1, 2.331, 38.62, 75.4
5 2 1, 2.320, 38.81, 62.3
2 7 0, 2.253, 40.02, 41.8
0 0 2, 2.245, 40.16, 75.7

---

Record 12
The following is a simulated powder diffractogram of EuIn4Ir. It was derived from the GGA-PBE geometry in the Materials Project, using Cu Kα (λ = 1.5418 Å).
Intensities are scaled so that the largest is 100.

Cell and atoms:
Unit cell a=4.586 b=17.240 c=7.394 alpha=90.00 beta=90.00 gamma=90.00
Space group Cmcm (No. 63)
Inequivalent atoms, fractional coordinates:
Eu 0.000 0.126 0.250 x4
In 0.000 0.067 0.750 x4
In 0.000 0.315 0.046 x8
In 0.000 0.500 0.000 x4
Ir 0.000 0.222 0.750 x4

Principal peaks in the range 15° ≤ 2θ ≤ 90°, sorted by position:
h k l, d [Å], two_theta, Rel. int.
1 1 2, 2.839, 31.51, 100.0
1 5 0, 2.756, 32.49, 28.0
0 6 1, 2.678, 33.46, 39.7
1 5 1, 2.582, 34.74, 53.4
1 3 2, 2.574, 34.86, 21.7
2 0 0, 2.293, 39.29, 46.1
0 6 2, 2.269, 39.73, 27.7
2 6 1, 1.742, 52.54, 22.0

---

What did the sixth record say?
The following is a simulated powder diffractogram of Eu2PI. It was derived from the GGA-PBE geometry in the Materials Project, using Cu Kα (λ = 1.5418 Å).
Intensities are scaled so that the largest is 100.

Cell and atoms:
Unit cell a=4.4004 b=4.4004 c=23.0425 alpha=90.00 beta=90.00 gamma=120.00
Space group R-3m (No. 166, hexagonal axes)
Inequivalent atoms, fractional coordinates:
Eu 0.0000 0.0000 0.2322 x6
P 0.0000 0.0000 0.5000 x3
I 0.0000 0.0000 0.0000 x3

Principal peaks in the range 15° ≤ 2θ ≤ 90°, sorted by position:
h k l, d [Å], two_theta, Rel. int.
0 1 2, 3.618, 24.61, 14.1
1 0 4, 3.178, 28.07, 100.0
0 1 5, 2.937, 30.44, 28.4
0 1 8, 2.298, 39.21, 26.3
1 1 0, 2.200, 41.02, 40.9
0 2 4, 1.809, 50.45, 19.5
1 1 9, 1.669, 55.03, 20.3
2 1 4, 1.397, 66.97, 16.6